This entry pairs a crystal structure of La3Cd7Rh4 with its theoretical X-ray powder pattern. Radiation: copper Kα. Structure: the PBE geometry in Alexandria.
Intensities are scaled so that the largest is 1000.

Atomic structure:
```
La3Cd7Rh4
1.0
8.2955 -2.1055 0.0000
8.2955 2.1055 0.0000
-6.1354 0.0000 9.0471
La Cd Rh
3 7 4
direct
0.0000 0.0000 0.0000
0.2973 0.2973 0.2792
0.7027 0.7027 0.7208
0.0000 0.0000 0.5000
0.1692 0.1692 0.4344
0.3251 0.3251 0.9968
0.4830 0.4830 0.7026
0.5170 0.5170 0.2974
0.6749 0.6749 0.0032
0.8308 0.8308 0.5656
0.1134 0.1134 0.8013
0.3367 0.3367 0.7524
0.6633 0.6633 0.2476
0.8866 0.8866 0.1987
```

Principal peaks in the range 2θ = 5–70°, sorted by position:
32.1 deg, I 632; 32.6 deg, I 410; 33.0 deg, I 216; 34.0 deg, I 663; 34.4 deg, I 1000; 36.3 deg, I 326; 39.4 deg, I 648; 39.9 deg, I 288; 40.2 deg, I 260; 43.0 deg, I 599